Theoretical powder XRD pattern
Compound: LiCoPt3O6
Radiation: λ = 1.5418 Å (Cu Kα)
Structure: a PBE+U-relaxed structure
No peak broadening, texture or thermal motion is included.

Principal peaks in the range 2θ from 5° to 70°, in order of rising 2θ:
two_theta	intensity
27.7	78
29.7	63
33.2	100
36.4	57
50.2	37
52.6	33

Cell and atoms:
a b c (Å): 6.2373 3.1818 6.6715
angles (deg): 90.00 105.26 90.00
Fractional coordinates of all 11 atoms:
Li1 0.0000 0.0000 0.0000
Co1 0.1732 0.0000 0.6955
Pt1 0.2319 0.5000 0.2769
Pt2 0.6941 0.5000 0.7354
Pt3 0.7102 0.0000 0.2501
O1 0.0378 0.5000 0.8394
O2 0.0533 0.0000 0.3497
O3 0.3568 0.5000 0.6303
O4 0.3792 0.0000 0.1746
O5 0.6689 0.0000 0.9283
O6 0.7537 0.0000 0.5612

Theoretical powder XRD pattern
Compound: RbMgMoO3
Radiation: λ = 1.5418 Å (Cu Kα)
Structure: a PBE+U-relaxed structure
No peak broadening, texture or thermal motion is included.

Principal peaks in the range 2θ from 5° to 70°, in order of rising 2θ:
two_theta	intensity
27.4	100
30.0	74
35.1	44
43.0	48
46.8	43
56.6	40

Cell and atoms:
a b c (Å): 4.2060 4.2060 5.1195
angles (deg): 90.00 90.00 90.00
Fractional coordinates of all 6 atoms:
Rb1 0.0000 0.0000 0.0000
Mg1 0.0000 0.0000 0.5000
Mo1 0.5000 0.5000 0.5000
O1 0.0000 0.5000 0.5000
O2 0.5000 0.0000 0.5000
O3 0.5000 0.5000 0.0000

Theoretical powder XRD pattern
Compound: La2CrMoO6
Radiation: λ = 1.5418 Å (Cu Kα)
Structure: a PBE+U-relaxed structure
No peak broadening, texture or thermal motion is included.

Principal peaks in the range 2θ from 5° to 70°, in order of rising 2θ:
two_theta	intensity
31.4	100
31.7	59
45.4	28
55.7	23
56.2	45
65.5	18

Cell and atoms:
a b c (Å): 5.6990 5.6990 5.6990
angles (deg): 120.57 120.57 89.01
Fractional coordinates of all 10 atoms:
La1 0.2500 0.7500 0.5000
La2 0.7500 0.2500 0.5000
Cr1 0.0000 0.0000 0.0000
Mo1 0.5000 0.5000 0.0000
O1 0.1724 0.3120 0.4844
O2 0.2424 0.2424 0.0000
O3 0.3120 0.8276 0.1396
O4 0.6880 0.1724 0.8604
O5 0.7576 0.7576 0.0000
O6 0.8276 0.6880 0.5156

Theoretical powder XRD pattern
Compound: Sr2V2GaO7
Radiation: λ = 1.5418 Å (Cu Kα)
Structure: a PBE+U-relaxed structure
No peak broadening, texture or thermal motion is included.

Principal peaks in the range 2θ from 5° to 70°, in order of rising 2θ:
two_theta	intensity
15.9	28
28.1	78
32.5	39
33.0	41
33.4	100
47.0	53

Cell and atoms:
a b c (Å): 11.8088 11.8088 11.8088
angles (deg): 38.26 152.99 153.41
Fractional coordinates of all 24 atoms:
Sr1 0.0133 0.1473 0.1606
Sr2 0.0133 0.3527 0.3660
Sr3 0.9867 0.6473 0.6340
Sr4 0.9867 0.8527 0.8394
V1 0.4962 0.5658 0.0683
V2 0.4962 0.9279 0.4304
V3 0.4974 0.0658 0.5696
V4 0.4974 0.4279 0.9317
Ga1 0.4717 0.7990 0.1727
Ga2 0.6262 0.2990 0.8273
O1 0.0101 0.6471 0.8631
O2 0.0242 0.1928 0.6929
O3 0.0242 0.8313 0.3314
O4 0.4510 0.1573 0.6392
O5 0.4510 0.3118 0.7937
O6 0.4976 0.1603 0.1891
O7 0.4976 0.8085 0.8373
O8 0.5000 0.3313 0.3071
O9 0.5000 0.6928 0.6686
O10 0.5181 0.6573 0.2063
O11 0.5181 0.8118 0.3608
O12 0.7840 0.1471 0.1369
O13 0.9712 0.3085 0.8109
O14 0.9712 0.6603 0.1627

Theoretical powder XRD pattern
Compound: Ni2P2O7
Radiation: λ = 1.5418 Å (Cu Kα)
Structure: a PBE+U-relaxed structure
No peak broadening, texture or thermal motion is included.

Principal peaks in the range 2θ from 5° to 70°, in order of rising 2θ:
two_theta	intensity
29.6	100
30.1	47
35.3	17
35.4	16
42.9	24
58.4	15

Cell and atoms:
a b c (Å): 6.9884 8.3204 9.0396
angles (deg): 90.00 113.78 90.00
Fractional coordinates of all 44 atoms:
Ni1 0.1950 0.0574 0.3207
Ni2 0.1950 0.4426 0.8207
Ni3 0.2691 0.0756 0.8907
Ni4 0.2691 0.4244 0.3907
Ni5 0.7309 0.5756 0.6093
Ni6 0.7309 0.9244 0.1093
Ni7 0.8050 0.5574 0.1793
Ni8 0.8050 0.9426 0.6793
P1 0.0287 0.7250 0.9660
P2 0.0287 0.7750 0.4660
P3 0.4407 0.7294 0.2571
P4 0.4407 0.7706 0.7571
P5 0.5593 0.2294 0.2429
P6 0.5593 0.2706 0.7429
P7 0.9713 0.2250 0.5340
P8 0.9713 0.2750 0.0340
O1 0.0230 0.0888 0.6587
O2 0.0230 0.4112 0.1587
O3 0.0504 0.6105 0.3977
O4 0.0504 0.8895 0.8977
O5 0.1231 0.2332 0.4499
O6 0.1231 0.2668 0.9499
O7 0.2499 0.6671 0.0959
O8 0.2499 0.8329 0.5959
O9 0.3781 0.2381 0.2977
O10 0.3781 0.2619 0.7977
O11 0.3852 0.6120 0.8092
O12 0.3852 0.8880 0.3092
O13 0.4775 0.5934 0.3801
O14 0.4775 0.9066 0.8801
O15 0.5225 0.0934 0.1199
O16 0.5225 0.4066 0.6199
O17 0.6148 0.1120 0.6908
O18 0.6148 0.3880 0.1908
O19 0.6219 0.7381 0.2023
O20 0.6219 0.7619 0.7023
O21 0.7501 0.1671 0.4041
O22 0.7501 0.3329 0.9041
O23 0.8769 0.7332 0.0501
O24 0.8769 0.7668 0.5501
O25 0.9496 0.1105 0.1023
O26 0.9496 0.3895 0.6023
O27 0.9770 0.5888 0.8413
O28 0.9770 0.9112 0.3413

Theoretical powder XRD pattern
Compound: K2MgFe4P6O16F12
Radiation: λ = 1.5418 Å (Cu Kα)
Structure: a PBE+U-relaxed structure
No peak broadening, texture or thermal motion is included.

Principal peaks in the range 2θ from 5° to 70°, in order of rising 2θ:
two_theta	intensity
12.6	50
25.2	76
25.8	35
26.2	33
26.5	100
27.2	66

Cell and atoms:
a b c (Å): 7.6498 7.7394 10.8171
angles (deg): 79.82 72.47 89.94
Fractional coordinates of all 41 atoms:
K1 0.2112 0.3889 0.2719
K2 0.7888 0.6111 0.7281
Mg1 0.5000 0.5000 0.5000
Fe1 0.0000 0.5000 0.0000
Fe2 0.3400 0.1672 0.8382
Fe3 0.5000 0.0000 0.5000
Fe4 0.6600 0.8328 0.1618
P1 0.0698 0.0920 0.6580
P2 0.2898 0.5935 0.6908
P3 0.3378 0.7658 0.0187
P4 0.6622 0.2342 0.9813
P5 0.7102 0.4065 0.3092
P6 0.9302 0.9080 0.3420
O1 0.1179 0.1426 0.7708
O2 0.1389 0.6441 0.7983
O3 0.1877 0.6201 0.0654
O4 0.2095 0.0422 0.5422
O5 0.2845 0.9408 0.9566
O6 0.3922 0.4216 0.7044
O7 0.4303 0.7737 0.1244
O8 0.4439 0.7226 0.5940
O9 0.5561 0.2774 0.4060
O10 0.5697 0.2263 0.8756
O11 0.6078 0.5784 0.2956
O12 0.7155 0.0592 0.0434
O13 0.7905 0.9578 0.4578
O14 0.8123 0.3799 0.9346
O15 0.8611 0.3559 0.2017
O16 0.8821 0.8574 0.2292
F1 0.0399 0.7547 0.3966
F2 0.0927 0.0529 0.2850
F3 0.1885 0.2946 0.9645
F4 0.1930 0.5451 0.5787
F5 0.4858 0.0808 0.6764
F6 0.4938 0.7046 0.8987
F7 0.5062 0.2954 0.1013
F8 0.5142 0.9192 0.3236
F9 0.8070 0.4549 0.4213
F10 0.8115 0.7054 0.0355
F11 0.9073 0.9471 0.7150
F12 0.9601 0.2453 0.6034

Theoretical powder XRD pattern
Compound: KMgMn4O8
Radiation: λ = 1.5418 Å (Cu Kα)
Structure: a PBE+U-relaxed structure
No peak broadening, texture or thermal motion is included.

Principal peaks in the range 2θ from 5° to 70°, in order of rising 2θ:
two_theta	intensity
15.5	48
18.6	47
28.9	50
29.4	68
31.3	100
35.9	43

Cell and atoms:
a b c (Å): 2.9982 7.4206 7.6862
angles (deg): 78.30 79.16 81.00
Fractional coordinates of all 14 atoms:
K1 0.0000 0.0000 0.0000
Mg1 0.7640 0.2723 0.2708
Mn1 0.0584 0.6204 0.2887
Mn2 0.2255 0.8946 0.5900
Mn3 0.4929 0.2663 0.6250
Mn4 0.7148 0.5316 0.9179
O1 0.2022 0.6716 0.7830
O2 0.2250 0.1599 0.4506
O3 0.3095 0.3629 0.0964
O4 0.5568 0.4804 0.4174
O5 0.5974 0.7019 0.1191
O6 0.6244 0.9937 0.7205
O7 0.8364 0.8287 0.4457
O8 0.8710 0.3323 0.7681